No. 1
Structure and computed powder XRD pattern of RbPb (the GGA-PBE geometry in the Materials Project; λ = 1.5418 Å (Cu Kα)).

Crystal structure
```
RbPb
1.0
-6.0730 6.0730 9.9540
6.0730 -6.0730 9.9540
6.0730 6.0730 -9.9540
Rb Pb
16 16
Cartesian
4.6059 1.5694 -2.4885
9.1095 1.3834 0.0000
7.5401 4.5036 -2.4885
4.4199 6.0730 -4.9770
4.4199 0.0000 4.9770
1.4671 1.5694 2.4885
3.0365 4.6896 0.0000
-1.4671 4.5036 2.4885
7.5401 1.5694 7.4655
3.0365 1.3834 9.9540
4.6059 4.5036 7.4655
1.6531 6.0730 4.9770
1.6531 0.0000 14.9310
-1.4671 1.5694 12.4425
-3.0365 4.6896 9.9540
1.4671 4.5036 12.4425
4.6834 -3.7754 6.3347
6.8119 -4.4261 8.5964
7.4626 -2.2976 6.3347
5.3340 1.6469 1.3576
5.3340 -1.6469 8.5964
7.4626 2.2976 3.6194
6.8119 4.4261 1.3576
4.6834 3.7754 3.6194
1.3896 2.2975 6.3347
-0.7389 1.6469 8.5964
-1.3896 3.7754 6.3347
0.7389 7.7199 1.3576
0.7389 4.4261 8.5964
-1.3896 8.3705 3.6194
-0.7389 10.4990 1.3576
1.3896 9.8484 3.6194
```

Top 10 peaks for 2θ from 10° to 80°, by angle:
13.62 deg, 6.503 Å, rel. 100
14.59 deg, 6.073 Å, rel. 25
26.84 deg, 3.321 Å, rel. 66
27.78 deg, 3.211 Å, rel. 58
28.85 deg, 3.095 Å, rel. 25
29.39 deg, 3.039 Å, rel. 56
29.74 deg, 3.004 Å, rel. 30
30.79 deg, 2.904 Å, rel. 26
34.89 deg, 2.572 Å, rel. 32
50.62 deg, 1.803 Å, rel. 23

No. 2
Structure and computed powder XRD pattern of Er3Mn3Ga2Si (the GGA-PBE geometry in the Materials Project; λ = 1.5418 Å (Cu Kα)).

Crystal structure
```
Er3Mn3Ga2Si
1.0
7.0350 0.0000 0.0000
-3.5175 6.0925 0.0000
0.0000 0.0000 3.9026
Er Mn Ga Si
3 3 2 1
Cartesian
-1.4318 2.4799 0.0000
2.8636 0.0000 0.0000
2.0857 3.6126 0.0000
-2.7428 4.7506 1.9513
0.7747 1.3419 1.9513
5.4856 0.0000 1.9513
0.0000 4.0617 1.9513
3.5175 2.0308 1.9513
0.0000 0.0000 0.0000
```

Top 10 peaks for 2θ from 10° to 80°, by angle:
25.32 deg, 3.518 Å, rel. 26
34.32 deg, 2.613 Å, rel. 100
37.45 deg, 2.401 Å, rel. 58
39.12 deg, 2.303 Å, rel. 38
44.62 deg, 2.031 Å, rel. 14
46.54 deg, 1.951 Å, rel. 18
54.29 deg, 1.690 Å, rel. 17
59.62 deg, 1.551 Å, rel. 30
62.38 deg, 1.489 Å, rel. 18
71.73 deg, 1.316 Å, rel. 14

No. 3
Structure and computed powder XRD pattern of Sr (the GGA-PBE geometry in the Materials Project; λ = 1.5418 Å (Cu Kα)).

Crystal structure
```
Sr
1.0
3.7730 0.0000 0.0000
0.0000 3.7730 0.0000
0.0000 0.0000 3.8813
Sr
1
Cartesian
0.0000 0.0000 0.0000
```

Top 10 peaks for 2θ from 10° to 80°, by angle:
22.91 deg, 3.881 Å, rel. 54
23.58 deg, 3.773 Å, rel. 100
33.11 deg, 2.705 Å, rel. 84
33.59 deg, 2.668 Å, rel. 40
41.05 deg, 2.199 Å, rel. 46
53.07 deg, 1.726 Å, rel. 21
54.05 deg, 1.697 Å, rel. 20
54.37 deg, 1.687 Å, rel. 20
59.76 deg, 1.547 Å, rel. 30
74.52 deg, 1.273 Å, rel. 16

No. 4
Structure and computed powder XRD pattern of Li2InPb (the GGA-PBE geometry in the Materials Project; λ = 1.5418 Å (Cu Kα)).

Crystal structure
```
Li2InPb
1.0
0.0000 3.6075 3.6075
3.6075 0.0000 3.6075
3.6075 3.6075 0.0000
Li In Pb
2 1 1
Cartesian
0.0000 0.0000 0.0000
1.8038 1.8038 1.8038
3.6075 3.6075 3.6075
5.4113 5.4113 5.4113
```

Top 10 peaks for 2θ from 10° to 80°, by angle:
21.33 deg, 4.166 Å, rel. 100
24.68 deg, 3.608 Å, rel. 7
35.18 deg, 2.551 Å, rel. 91
41.51 deg, 2.175 Å, rel. 55
50.60 deg, 1.804 Å, rel. 16
55.52 deg, 1.655 Å, rel. 24
63.13 deg, 1.473 Å, rel. 34
67.45 deg, 1.389 Å, rel. 18
74.38 deg, 1.275 Å, rel. 11
78.41 deg, 1.220 Å, rel. 18

No. 5
Structure and computed powder XRD pattern of NaH4C2IN2O2 (the GGA-PBE geometry in the Materials Project; λ = 1.5418 Å (Cu Kα)).

Crystal structure
```
NaH4C2IN2O2
1.0
10.4343 0.0000 0.0000
0.0000 4.8771 0.0000
-0.7637 0.0000 7.5861
Na H C I N O
2 8 4 2 4 4
Cartesian
0.0000 0.0000 0.0000
-0.3819 2.4385 3.7930
1.0058 0.4588 5.4267
1.3876 1.9797 1.6337
1.4409 0.6361 2.4396
1.0590 1.8024 6.2326
8.6116 3.0747 1.3534
8.2297 4.2409 5.1465
8.2830 2.8973 5.9524
8.6649 4.4182 2.1594
2.8077 3.4713 3.9772
3.1896 3.8443 0.1842
6.4810 1.0328 7.4019
6.8629 1.4058 3.6088
5.2172 0.0000 0.0000
4.8353 2.4385 3.7930
2.1173 3.3639 0.2733
1.7355 3.9517 4.0663
7.9352 0.9254 3.5197
7.5533 1.5131 7.3128
0.4437 1.1660 5.8157
0.8255 1.2726 2.0227
8.8451 3.6045 5.5634
9.2270 3.7111 1.7704
```

Top 10 peaks for 2θ from 10° to 80°, by angle:
17.08 deg, 5.191 Å, rel. 54
21.66 deg, 4.102 Å, rel. 100
22.87 deg, 3.888 Å, rel. 51
23.45 deg, 3.793 Å, rel. 51
23.75 deg, 3.747 Å, rel. 41
25.78 deg, 3.456 Å, rel. 56
26.96 deg, 3.307 Å, rel. 64
28.45 deg, 3.137 Å, rel. 63
40.09 deg, 2.249 Å, rel. 37
44.18 deg, 2.050 Å, rel. 29

No. 6
Structure and computed powder XRD pattern of ZrMo2 (the GGA-PBE geometry in the Materials Project; λ = 1.5418 Å (Cu Kα)).

Crystal structure
```
ZrMo2
1.0
0.0000 3.8145 3.8145
3.8145 0.0000 3.8145
3.8145 3.8145 0.0000
Zr Mo
2 4
Cartesian
0.9536 0.9536 0.9536
6.6754 6.6754 6.6754
3.8145 1.9072 1.9072
1.9072 3.8145 1.9072
1.9072 1.9072 3.8145
3.8145 3.8145 3.8145
```

Top 10 peaks for 2θ from 10° to 80°, by angle:
20.16 deg, 4.405 Å, rel. 7
33.22 deg, 2.697 Å, rel. 26
39.16 deg, 2.300 Å, rel. 100
40.98 deg, 2.202 Å, rel. 42
47.68 deg, 1.907 Å, rel. 5
52.27 deg, 1.750 Å, rel. 2
59.35 deg, 1.557 Å, rel. 9
63.35 deg, 1.468 Å, rel. 31
69.73 deg, 1.349 Å, rel. 27
79.45 deg, 1.206 Å, rel. 4

No. 7
Structure and computed powder XRD pattern of Ge3Sb2Te6 (the GGA-PBE geometry in the Materials Project; λ = 1.5418 Å (Cu Kα)).

Crystal structure
```
Ge3Sb2Te6
1.0
6.7802 -3.0481 0.0000
6.7802 3.0481 0.0000
-2.6422 0.0000 8.1547
Ge Sb Te
3 2 6
Cartesian
0.0000 0.0000 0.0000
4.0120 0.0000 1.3721
6.9062 0.0000 6.7826
2.7625 0.0000 5.4068
8.1557 0.0000 2.7479
1.3847 0.0000 2.6444
0.0426 0.0000 6.8827
6.7802 0.0000 0.0000
5.4591 0.0000 4.0773
10.8756 0.0000 1.2719
9.5335 0.0000 5.5103
```

Top 10 peaks for 2θ from 10° to 80°, by angle:
25.37 deg, 3.510 Å, rel. 15
29.30 deg, 3.048 Å, rel. 100
29.55 deg, 3.023 Å, rel. 49
41.92 deg, 2.155 Å, rel. 37
42.07 deg, 2.148 Å, rel. 56
42.17 deg, 2.143 Å, rel. 18
52.05 deg, 1.757 Å, rel. 20
52.18 deg, 1.753 Å, rel. 19
68.89 deg, 1.363 Å, rel. 21
76.61 deg, 1.244 Å, rel. 12

No. 8
Structure and computed powder XRD pattern of Na5Sn2PC4O16 (the GGA-PBE geometry in the Materials Project; λ = 1.5418 Å (Cu Kα)).

Crystal structure
```
Na5Sn2PC4O16
1.0
7.1197 -7.2570 0.0000
7.1197 7.2570 0.0000
-6.8559 0.0000 7.2050
Na Sn P C O
10 4 2 8 32
Cartesian
-2.3433 1.8736 5.4437
1.9778 6.2475 5.4038
1.8633 1.8596 1.0170
-1.5646 -1.8596 4.6195
1.0847 -1.8736 1.8412
6.2989 1.8736 5.3638
8.9482 1.8596 2.5855
5.5202 -1.8596 6.1881
5.4058 -6.2475 1.8013
9.7268 -1.8736 1.7613
0.1319 3.6285 3.6025
3.5599 -3.6285 0.0000
7.1197 0.0000 0.0000
3.6918 0.0000 3.6025
5.4058 5.4354 1.8013
1.9778 -5.4354 5.4038
3.3233 3.1032 3.9350
0.5737 0.3899 4.0977
0.6322 3.1032 6.8725
4.0017 -0.3899 0.4952
3.3818 0.3899 6.7098
6.7513 -3.1032 0.3325
6.8098 -0.3899 3.1073
4.0602 -3.1032 3.2700
4.4910 4.5855 0.8797
4.4957 6.3560 2.7000
6.3158 6.3560 0.9025
-0.3744 1.1965 3.8222
2.4707 3.1689 2.9790
0.4588 4.0593 6.0287
3.4968 4.0593 4.7788
-0.0947 1.9937 6.6809
1.6016 0.3047 3.2650
6.3205 4.5855 2.7228
3.0536 -1.1965 0.2197
-1.8264 -0.3047 6.8675
3.9774 0.3968 1.5410
8.3408 3.1689 0.6236
0.5494 -0.3968 5.1435
4.0503 1.9937 4.1266
3.3333 -1.9937 3.0784
6.8342 0.3968 2.0615
-0.9572 -3.1689 6.5815
3.4062 -0.3968 5.6640
9.2099 0.3047 0.3375
4.3299 1.1965 6.9853
1.0631 -4.5855 4.4822
5.7820 -0.3047 3.9400
7.4783 -1.9937 0.5241
3.8868 -4.0593 2.4262
6.9248 -4.0593 1.1763
4.9128 -3.1689 4.2261
7.7579 -1.1965 3.3828
1.0677 -6.3560 6.3025
2.8878 -6.3560 4.5050
2.8925 -4.5855 6.3253
```

Top 10 peaks for 2θ from 10° to 80°, by angle:
10.52 deg, 8.408 Å, rel. 64
10.78 deg, 8.204 Å, rel. 82
20.26 deg, 4.382 Å, rel. 100
20.42 deg, 4.349 Å, rel. 71
20.85 deg, 4.261 Å, rel. 60
21.13 deg, 4.204 Å, rel. 67
32.09 deg, 2.789 Å, rel. 69
32.47 deg, 2.757 Å, rel. 66
35.10 deg, 2.557 Å, rel. 56
35.33 deg, 2.540 Å, rel. 57

No. 9
Structure and computed powder XRD pattern of RbNp3 (the GGA-PBE geometry in the Materials Project; λ = 1.5418 Å (Cu Kα)).

Crystal structure
```
RbNp3
1.0
-2.4002 2.4002 5.2095
2.4002 -2.4002 5.2095
2.4002 2.4002 -5.2095
Rb Np
1 3
Cartesian
0.0000 0.0000 0.0000
2.4002 0.0000 2.6047
0.0000 0.0000 5.2095
0.0000 2.4002 2.6047
```

Top 10 peaks for 2θ from 10° to 80°, by angle:
20.37 deg, 4.360 Å, rel. 10
31.46 deg, 2.844 Å, rel. 100
34.43 deg, 2.605 Å, rel. 20
37.47 deg, 2.400 Å, rel. 32
51.80 deg, 1.765 Å, rel. 25
54.03 deg, 1.697 Å, rel. 11
59.82 deg, 1.546 Å, rel. 17
63.87 deg, 1.457 Å, rel. 27
65.66 deg, 1.422 Å, rel. 13
79.94 deg, 1.200 Å, rel. 4